This entry pairs a crystal structure of Li4Co3Ni5O16 with its calculated X-ray diffraction stick pattern. Radiation: copper Kα. Structure: the GGA+U geometry in Alexandria.
Lines closer than 0.1° are merged.

Most intense lines, 10 to 80 degrees two-theta, in order of falling intensity:
| 2θ/deg | d [Å] | I/Imax |
| --- | --- | --- |
| 20.39 | 4.356 | 100 |
| 18.73 | 4.739 | 98 |
| 37.91 | 2.373 | 59 |
| 36.96 | 2.432 | 49 |
| 66.04 | 1.415 | 46 |
| 46.82 | 1.940 | 37 |
| 47.02 | 1.932 | 35 |
| 33.69 | 2.660 | 25 |
| 33.82 | 2.650 | 24 |
| 37.09 | 2.424 | 24 |
| 37.98 | 2.369 | 23 |
| 26.21 | 3.400 | 21 |

Structure:
Cell lengths 5.659, 5.659, 9.478 Å; angles 90.31, 90.31, 60.00 degrees
Atoms (fractional coordinates):
Li (0.000, 0.000, 0.000)
Li (0.000, 0.000, 0.500)
Li (0.333, 0.333, 0.607)
Li (0.666, 0.666, 0.107)
Co (0.170, 0.665, 0.284)
Co (0.665, 0.170, 0.284)
Co (0.834, 0.834, 0.784)
Ni (0.170, 0.170, 0.282)
Ni (0.334, 0.334, 0.008)
Ni (0.339, 0.833, 0.783)
Ni (0.668, 0.668, 0.510)
Ni (0.833, 0.339, 0.783)
O (0.003, 0.003, 0.187)
O (0.004, 0.004, 0.688)
O (0.036, 0.484, 0.169)
O (0.158, 0.683, 0.888)
O (0.159, 0.159, 0.892)
O (0.318, 0.840, 0.389)
O (0.333, 0.333, 0.388)
O (0.483, 0.483, 0.171)
O (0.484, 0.036, 0.169)
O (0.518, 0.518, 0.667)
O (0.519, 0.966, 0.670)
O (0.666, 0.666, 0.886)
O (0.683, 0.158, 0.888)
O (0.840, 0.318, 0.389)
O (0.841, 0.841, 0.387)
O (0.966, 0.519, 0.670)